Diffraction record for LiMg14Ga. The X-ray powder pattern is simulated, not measured: it uses a DFT-relaxed cell (GGA-PBE, the Materials Project) and Cu Kα (weighted mean of Kα1 and Kα2).
No peak broadening, texture or thermal motion is included.

Cell and atoms:
Cell lengths 10.295, 6.303, 6.303 Å; angles 60.26, 90.00, 90.00 degrees
Fractional positions:
Li1 0.000 0.000 0.000
Mg1 0.000 0.001 0.495
Mg2 0.000 0.495 0.001
Mg3 0.245 0.170 0.666
Mg4 0.245 0.666 0.170
Mg5 0.246 0.664 0.664
Mg6 0.250 0.166 0.166
Mg7 0.500 0.000 0.500
Mg8 0.500 0.499 0.499
Mg9 0.500 0.500 0.000
Mg10 0.500 0.999 0.999
Mg11 0.750 0.166 0.166
Mg12 0.754 0.664 0.664
Mg13 0.755 0.170 0.666
Mg14 0.755 0.666 0.170
Ga1 0.000 0.499 0.499

Main lines, in order of rising 2θ (2θ = 10–90°):
d 5.471, rel. 14; d 4.831, rel. 21; d 2.736, rel. 23; d 2.574, rel. 40; d 2.416, rel. 100; d 2.409, rel. 48; d 1.873, rel. 23; d 1.576, rel. 17; d 1.454, rel. 19; d 1.344, rel. 19